No. 1
# Ca3SiO5
Computed X-ray diffraction stick pattern, Cu Ka. Input: a structure optimized by DFT (GGA-PBE).

Largest 6 diffraction maxima, low angle first, 10° ≤ 2θ ≤ 90°:
(2 0 0), 2θ = 28.44°, I = 58
(0 0 2), 2θ = 32.26°, I = 49
(2 0 1), 2θ = 32.78°, I = 100
(2 0 2), 2θ = 43.53°, I = 43
(2 2 0), 2θ = 50.35°, I = 47
(2 0 3), 2θ = 57.86°, I = 32

Cell and atoms:
abc: 7.2486 7.2486 5.5501
angles: 90.00 90.00 120.00
Space group P6_3mc (No. 186)
Inequivalent atoms, fractional coordinates:
Ca (0.1510, 0.3021, 0.0000) [6 per cell]
Si (0.3333, 0.6667, 0.4672) [2 per cell]
O (0.0000, 0.0000, 0.2586) [2 per cell]
O (0.2093, 0.4186, 0.5669) [6 per cell]
O (0.3333, 0.6667, 0.1659) [2 per cell]

No. 2
# NaGePtO
Computed X-ray diffraction stick pattern, Cu Ka. Input: a structure optimized by DFT (GGA-PBE).

Largest 6 diffraction maxima, low angle first, 10° ≤ 2θ ≤ 90°:
(0 0 2), 2θ = 14.66°, I = 100
(1 0 1), 2θ = 28.06°, I = 31
(1 0 3), 2θ = 35.18°, I = 57
(1 1 0), 2θ = 38.63°, I = 44
(1 1 2), 2θ = 41.53°, I = 32
(1 0 5), 2θ = 46.59°, I = 27

Cell and atoms:
abc: 3.296 3.296 12.089
angles: 90.00 90.00 90.00
Space group I4mm (No. 107)
Inequivalent atoms, fractional coordinates:
Na (0.000, 0.000, 0.000) [2 per cell]
Ge (0.000, 0.000, 0.302) [2 per cell]
Pt (0.000, 0.000, 0.724) [2 per cell]
O (0.000, 0.000, 0.447) [2 per cell]

No. 3
# Er3CoRh
Computed X-ray diffraction stick pattern, Cu Ka. Input: a structure optimized by DFT (GGA-PBE).

Largest 6 diffraction maxima, low angle first, 10° ≤ 2θ ≤ 90°:
(1 1 1), 2θ = 30.48°, I = 76
(1 0 -3), 2θ = 33.40°, I = 100
(2 1 0), 2θ = 34.36°, I = 52
(2 1 -2), 2θ = 36.63°, I = 64
(3 0 0), 2θ = 38.28°, I = 59
(0 2 0), 2θ = 46.78°, I = 42

Cell and atoms:
abc: 7.480 3.884 8.057
angles: 90.00 109.53 90.00
Space group P2_1/m (No. 11)
Inequivalent atoms, fractional coordinates:
Er (0.088, 0.250, 0.235) [2 per cell]
Er (0.310, 0.250, 0.926) [2 per cell]
Er (0.359, 0.750, 0.596) [2 per cell]
Co (0.052, 0.250, 0.577) [2 per cell]
Rh (0.360, 0.750, 0.196) [2 per cell]

No. 4
# MnVRh4
Computed X-ray diffraction stick pattern, Cu Ka. Input: a structure optimized by DFT (GGA-PBE).

Largest 6 diffraction maxima, low angle first, 10° ≤ 2θ ≤ 90°:
(1 1 1), 2θ = 38.04°, I = 49
(4 0 -2), 2θ = 40.77°, I = 72
(1 1 -2), 2θ = 43.14°, I = 100
(3 1 0), 2θ = 43.60°, I = 89
(0 0 3), 2θ = 44.13°, I = 45
(4 0 1), 2θ = 45.05°, I = 41

Cell and atoms:
abc: 9.870 2.764 6.443
angles: 90.00 107.15 90.00
Space group Cm (No. 8)
Inequivalent atoms, fractional coordinates:
Mn (0.000, 0.000, 0.000) [2 per cell]
V (0.131, 0.500, 0.700) [2 per cell]
Rh (0.171, 0.500, 0.321) [2 per cell]
Rh (0.272, 0.000, 0.037) [2 per cell]
Rh (0.348, 0.000, 0.670) [2 per cell]
Rh (0.456, 0.500, 0.397) [2 per cell]

No. 5
# Be9Nb2Cr
Computed X-ray diffraction stick pattern, Cu Ka. Input: a structure optimized by DFT (GGA-PBE).

Largest 6 diffraction maxima, low angle first, 10° ≤ 2θ ≤ 90°:
(0 0 2), 2θ = 12.74°, I = 70
(1 0 0), 2θ = 22.88°, I = 58
(1 0 1), 2θ = 23.77°, I = 50
(1 0 5), 2θ = 39.87°, I = 100
(1 1 0), 2θ = 40.18°, I = 72
(1 1 4), 2θ = 48.28°, I = 46

Cell and atoms:
abc: 4.4883 4.4883 13.8992
angles: 90.00 90.00 120.00
Space group P6_3/mmc (No. 194)
Inequivalent atoms, fractional coordinates:
Be (0.0000, 0.0000, 0.0000) [2 per cell]
Be (0.0000, 0.0000, 0.2500) [2 per cell]
Be (0.1678, 0.3357, 0.1297) [12 per cell]
Be (0.3333, 0.6667, 0.2500) [2 per cell]
Nb (0.3333, 0.6667, 0.5393) [4 per cell]
Cr (0.3333, 0.6667, 0.7500) [2 per cell]

No. 6
# Ca4HF2
Computed X-ray diffraction stick pattern, Cu Ka. Input: a structure optimized by DFT (GGA-PBE).

Largest 6 diffraction maxima, low angle first, 10° ≤ 2θ ≤ 90°:
(0 0 4), 2θ = 18.18°, I = 24
(1 0 3), 2θ = 24.21°, I = 21
(0 0 6), 2θ = 27.41°, I = 26
(1 1 2), 2θ = 29.81°, I = 100
(2 0 0), 2θ = 40.50°, I = 31
(1 1 8), 2θ = 47.11°, I = 20

Cell and atoms:
abc: 4.454 4.454 19.522
angles: 90.00 90.00 90.00
Space group I4/mmm (No. 139)
Inequivalent atoms, fractional coordinates:
Ca (0.000, 0.000, 0.174) [4 per cell]
Ca (0.000, 0.500, 0.000) [4 per cell]
H (0.000, 0.000, 0.000) [2 per cell]
F (0.000, 0.000, 0.282) [4 per cell]

No. 7
# K2In4AgSn3
Computed X-ray diffraction stick pattern, Cu Ka. Input: a structure optimized by DFT (GGA-PBE).

Largest 6 diffraction maxima, low angle first, 10° ≤ 2θ ≤ 90°:
(0 0 2), 2θ = 14.45°, I = 39
(1 0 1), 2θ = 19.06°, I = 49
(1 0 3), 2θ = 28.13°, I = 39
(1 1 2), 2θ = 29.01°, I = 87
(2 0 0), 2θ = 35.68°, I = 77
(1 1 4), 2θ = 38.76°, I = 100

Cell and atoms:
abc: 5.033 5.033 12.259
angles: 90.00 90.00 90.00
Space group P-4m2 (No. 115)
Inequivalent atoms, fractional coordinates:
K (0.000, 0.500, 0.245) [2 per cell]
In (0.000, 0.000, 0.500) [1 per cell]
In (0.000, 0.500, 0.874) [2 per cell]
In (0.500, 0.500, 0.500) [1 per cell]
Ag (0.500, 0.500, 0.000) [1 per cell]
Sn (0.000, 0.000, 0.000) [1 per cell]
Sn (0.000, 0.500, 0.636) [2 per cell]

No. 8
# PrNd7Er3
Computed X-ray diffraction stick pattern, Cu Ka. Input: a structure optimized by DFT (GGA-PBE).

Largest 6 diffraction maxima, low angle first, 10° ≤ 2θ ≤ 90°:
(0 2 1), 2θ = 30.32°, I = 100
(0 0 3), 2θ = 30.89°, I = 31
(2 0 2), 2θ = 35.32°, I = 66
(2 2 0), 2θ = 50.44°, I = 24
(0 2 4), 2θ = 51.18°, I = 23
(2 2 3), 2θ = 60.33°, I = 28

Cell and atoms:
abc: 7.2368 7.2368 8.6851
angles: 90.00 90.00 120.00
Space group P3m1 (No. 156)
Inequivalent atoms, fractional coordinates:
Pr (0.0000, 0.0000, 0.0000) [1 per cell]
Nd (0.0006, 0.5003, 0.0184) [3 per cell]
Nd (0.3330, 0.1665, 0.6656) [3 per cell]
Nd (0.3333, 0.6667, 0.6836) [1 per cell]
Er (0.1669, 0.3337, 0.3424) [3 per cell]

No. 9
# LiCdSBr
Computed X-ray diffraction stick pattern, Cu Ka. Input: a structure optimized by DFT (GGA-PBE).

Largest 6 diffraction maxima, low angle first, 10° ≤ 2θ ≤ 90°:
(1 0 0), 2θ = 24.40°, I = 100
(0 0 2), 2θ = 26.16°, I = 34
(1 0 2), 2θ = 36.07°, I = 57
(1 1 0), 2θ = 42.94°, I = 36
(1 0 3), 2θ = 47.14°, I = 26
(1 1 2), 2θ = 50.98°, I = 30

Cell and atoms:
abc: 4.2125 4.2125 6.8136
angles: 90.00 90.00 120.00
Space group P3m1 (No. 156)
Inequivalent atoms, fractional coordinates:
Li (0.0000, 0.0000, 0.0000) [1 per cell]
Cd (0.6667, 0.3333, 0.4560) [1 per cell]
S (0.0000, 0.0000, 0.3568) [1 per cell]
Br (0.6667, 0.3333, 0.8722) [1 per cell]

No. 10
# CePuTlRh
Computed X-ray diffraction stick pattern, Cu Ka. Input: a structure optimized by DFT (GGA-PBE).

Largest 6 diffraction maxima, low angle first, 10° ≤ 2θ ≤ 90°:
(1 0 1), 2θ = 28.36°, I = 18
(1 0 2), 2θ = 33.84°, I = 100
(1 1 0), 2θ = 37.55°, I = 44
(2 0 0), 2θ = 54.15°, I = 15
(1 1 4), 2θ = 58.04°, I = 13
(2 1 2), 2θ = 65.41°, I = 30

Cell and atoms:
abc: 3.387 3.387 8.497
angles: 90.00 90.00 90.00
Space group P4mm (No. 99)
Inequivalent atoms, fractional coordinates:
Ce (0.000, 0.000, 0.000) [1 per cell]
Pu (0.000, 0.000, 0.585) [1 per cell]
Tl (0.500, 0.500, 0.297) [1 per cell]
Rh (0.500, 0.500, 0.798) [1 per cell]

No. 11
# LiDy2Nb2O8
Computed X-ray diffraction stick pattern, Cu Ka. Input: a structure optimized by DFT (GGA-PBE).

Largest 6 diffraction maxima, low angle first, 10° ≤ 2θ ≤ 90°:
(0 2 1), 2θ = 24.21°, I = 100
(2 2 -1), 2θ = 31.48°, I = 63
(2 0 -2), 2θ = 31.82°, I = 21
(2 4 0), 2θ = 47.14°, I = 19
(2 2 1), 2θ = 47.40°, I = 32
(0 4 2), 2θ = 49.59°, I = 15

Cell and atoms:
abc: 6.762 10.495 6.131
angles: 90.00 122.82 90.00
Space group C2 (No. 5)
Inequivalent atoms, fractional coordinates:
Li (0.000, 0.000, 0.000) [2 per cell]
Dy (0.000, 0.003, 0.500) [2 per cell]
Dy (0.000, 0.278, 0.000) [2 per cell]
Nb (0.000, 0.515, 0.500) [2 per cell]
Nb (0.000, 0.740, 0.000) [2 per cell]
O (0.115, 0.414, 0.338) [4 per cell]
O (0.116, 0.869, 0.863) [4 per cell]
O (0.212, 0.149, 0.818) [4 per cell]
O (0.218, 0.107, 0.289) [4 per cell]

No. 12
# SrNdGa
Computed X-ray diffraction stick pattern, Cu Ka. Input: a structure optimized by DFT (GGA-PBE).

Largest 6 diffraction maxima, low angle first, 10° ≤ 2θ ≤ 90°:
(0 0 2), 2θ = 12.81°, I = 23
(1 0 1), 2θ = 24.26°, I = 22
(1 0 3), 2θ = 30.47°, I = 100
(1 1 0), 2θ = 33.30°, I = 57
(1 0 5), 2θ = 40.34°, I = 29
(2 1 3), 2θ = 57.75°, I = 32

Cell and atoms:
abc: 3.806 3.806 13.816
angles: 90.00 90.00 90.00
Space group I4mm (No. 107)
Inequivalent atoms, fractional coordinates:
Sr (0.000, 0.000, 0.000) [2 per cell]
Nd (0.000, 0.000, 0.265) [2 per cell]
Ga (0.000, 0.000, 0.653) [2 per cell]